For BaCoN4, DFT lattice parameters and positions (GGA-PBE) gives the computed X-ray diffraction stick pattern in this record (copper Kα).
Intensities are scaled so that the largest is 100.

Lattice parameters (Å, degrees): 6.350 6.350 4.941 90.00 90.00 90.00
Space group P4_2/mmc (No. 131)
Inequivalent atoms, fractional coordinates:
Ba  0.000  0.500  0.000 x2
Co  0.000  0.000  0.250 x2
N  0.276  0.409  0.500 x8

Principal peaks in the range 10° ≤ 2θ ≤ 90°, by angle:
(hkl), Position (°2θ), I/Imax
1 1 0, 19.77, 18
1 0 1, 22.80, 87
2 0 0, 28.10, 67
2 1 0, 31.50, 22
2 1 1, 36.49, 100
2 2 0, 40.17, 24
1 1 2, 41.73, 50
3 2 1, 55.37, 21
3 1 2, 59.30, 40
5 0 1, 77.60, 19